Starting from a structure optimized by DFT (GGA-PBE), the PXRD pattern of Ag2HPdF6 was calculated for Cu Kα.
No peak broadening, texture or thermal motion is included.

Largest 6 diffraction maxima, by intensity, 2θ from 15° to 90°:
| Position (°2θ) | d/Å | intensity |
| --- | --- | --- |
| 29.68 | 3.010 | 100 |
| 20.35 | 4.365 | 56 |
| 27.61 | 3.231 | 39 |
| 49.10 | 1.855 | 37 |
| 31.74 | 2.819 | 25 |
| 34.54 | 2.597 | 24 |

Cell and atoms:
```
Ag2HPdF6
1.0
6.4618 0.0000 0.0000
0.0000 4.9284 0.0000
-6.4421 0.0000 9.4003
Ag H Pd F
4 2 2 12
direct
0.1944 0.0001 0.1946
0.1944 0.4999 0.6946
0.8056 0.9999 0.8054
0.8056 0.5001 0.3054
0.0000 0.0000 0.5000
0.0000 0.5000 0.0000
0.5000 0.0000 0.0000
0.5000 0.5000 0.5000
0.0812 0.2080 0.4999
0.0812 0.2920 0.9999
0.1922 0.6915 0.3477
0.1922 0.8085 0.8477
0.4970 0.6916 0.6526
0.4970 0.8084 0.1526
0.5030 0.1916 0.8474
0.5030 0.3084 0.3474
0.8078 0.1915 0.1523
0.8078 0.3085 0.6523
0.9188 0.7080 0.0001
0.9188 0.7920 0.5001
```